Diffraction record for Pa4Cr6O19. The XRD peak list is theoretical, not measured: it uses a cell relaxed with PBE+U and Cu Kα X-rays.

Peak list (10 most intense, 10° ≤ 2θ ≤ 80°, by angle)
| two_theta | d_spacing | I/Imax |
| --- | --- | --- |
| 24.4 | 3.641 | 100 |
| 31.7 | 2.821 | 45 |
| 34.8 | 2.575 | 25 |
| 37.7 | 2.384 | 14 |
| 43.0 | 2.102 | 39 |
| 50.1 | 1.821 | 16 |
| 52.3 | 1.749 | 20 |
| 56.5 | 1.628 | 33 |
| 62.5 | 1.487 | 14 |
| 78.9 | 1.214 | 18 |

Structure:
a b c (Å): 7.724 7.724 7.724
angles (deg): 109.47 109.47 109.47
Sites, in units of the cell vectors:
Pa 0.000 0.000 0.308
Pa 0.000 0.308 0.000
Pa 0.308 0.000 0.000
Pa 0.692 0.692 0.692
Cr 0.159 0.500 0.659
Cr 0.341 0.841 0.500
Cr 0.500 0.341 0.841
Cr 0.500 0.659 0.159
Cr 0.659 0.159 0.500
Cr 0.841 0.500 0.341
O 0.000 0.000 0.000
O 0.000 0.321 0.321
O 0.000 0.679 0.679
O 0.040 0.769 0.382
O 0.231 0.271 0.612
O 0.271 0.612 0.231
O 0.321 0.000 0.321
O 0.321 0.321 0.000
O 0.342 0.729 0.960
O 0.382 0.040 0.769
O 0.388 0.658 0.618
O 0.612 0.231 0.271
O 0.618 0.388 0.658
O 0.658 0.618 0.388
O 0.679 0.000 0.679
O 0.679 0.679 0.000
O 0.729 0.960 0.342
O 0.769 0.382 0.040
O 0.960 0.342 0.729